# 1
This entry pairs a crystal structure of AlPt3 with its simulated XRD peak list. Radiation: Cu Kα X-rays. Structure: a structure optimized by DFT (GGA-PBE).
Kinematic intensities with the Lorentz-polarization factor, no thermal factor.

Cell and atoms:
```
data_AlPt3
_chemical_formula_sum 'Al4 Pt12'
_cell_length_a 5.5183
_cell_length_b 5.5183
_cell_length_c 7.9484
_cell_angle_alpha 90.00
_cell_angle_beta 90.00
_cell_angle_gamma 90.00
_symmetry_space_group_name_H-M 'P 4/m b m'
_symmetry_Int_Tables_number 127
_symmetry_space_group_name_Hall '-P 4 2ab'
loop_
_atom_site_label
_atom_site_fract_x
_atom_site_fract_y
_atom_site_fract_z
Al1 0.0000 0.5000 0.2421
Pt1 0.0000 0.0000 0.2522
Pt2 0.1963 0.3037 0.5000
Pt3 0.2218 0.7218 0.0000
```

Peak list (12 most intense, 2θ = 10–80°, low angle first)
2θ 22.37, rel. 10, (0 0 2); 2θ 22.79, rel. 13, (1 1 0); 2θ 32.15, rel. 22, (1 1 2); 2θ 38.19, rel. 24, (2 1 1); 2θ 39.77, rel. 100, (2 0 2); 2θ 45.66, rel. 20, (0 0 4); 2θ 46.55, rel. 27, (2 2 0); 2θ 50.54, rel. 11, (2 1 3); 2θ 52.44, rel. 8, (3 1 0); 2θ 67.25, rel. 18, (2 2 4); 2θ 71.48, rel. 11, (4 1 1); 2θ 72.02, rel. 7, (3 1 4)



# 2
This entry pairs a crystal structure of AlPt3 with its simulated XRD peak list. Radiation: Cu Kα X-rays. Structure: a structure optimized by DFT (GGA-PBE).
Kinematic intensities with the Lorentz-polarization factor, no thermal factor.

Cell and atoms:
```
data_AlPt3
_chemical_formula_sum 'Al1 Pt3'
_cell_length_a 3.9228
_cell_length_b 3.9228
_cell_length_c 3.9228
_cell_angle_alpha 90.00
_cell_angle_beta 90.00
_cell_angle_gamma 90.00
_symmetry_space_group_name_H-M 'P m -3 m'
_symmetry_Int_Tables_number 221
_symmetry_space_group_name_Hall '-P 4 2 3'
loop_
_atom_site_label
_atom_site_fract_x
_atom_site_fract_y
_atom_site_fract_z
Al1 0.0000 0.0000 0.0000
Pt1 0.0000 0.5000 0.5000
```

Peak list (9 most intense, 2θ = 10–80°, low angle first)
2θ 22.67, rel. 23, (1 0 0); 2θ 32.27, rel. 20, (1 1 0); 2θ 39.80, rel. 100, (1 1 1); 2θ 46.29, rel. 49, (2 0 0); 2θ 52.14, rel. 11, (2 1 0); 2θ 57.55, rel. 8, (2 1 1); 2θ 67.54, rel. 32, (2 2 0); 2θ 72.25, rel. 5, (3 0 0); 2θ 76.85, rel. 3, (3 1 0)



# 3
This entry pairs a crystal structure of AlPt3 with its simulated XRD peak list. Radiation: Cu Kα X-rays. Structure: a structure optimized by DFT (GGA-PBE).
Kinematic intensities with the Lorentz-polarization factor, no thermal factor.

Cell and atoms:
```
data_AlPt3
_chemical_formula_sum 'Al4 Pt12'
_cell_length_a 6.5784
_cell_length_b 6.5784
_cell_length_c 5.7610
_cell_angle_alpha 90.00
_cell_angle_beta 90.00
_cell_angle_gamma 90.00
_symmetry_space_group_name_H-M 'P 4/m b m'
_symmetry_Int_Tables_number 127
_symmetry_space_group_name_Hall '-P 4 2ab'
loop_
_atom_site_label
_atom_site_fract_x
_atom_site_fract_y
_atom_site_fract_z
Al1 0.0000 0.5000 0.2449
Pt1 0.0000 0.0000 0.2511
Pt2 0.2222 0.2778 0.5000
Pt3 0.2368 0.7368 0.0000
```

Peak list (12 most intense, 2θ = 10–80°, low angle first)
2θ 19.08, rel. 25, (1 1 0); 2θ 27.11, rel. 10, (2 0 0); 2θ 34.22, rel. 9, (2 1 1); 2θ 36.70, rel. 12, (1 1 2); 2θ 38.71, rel. 59, (2 2 0); 2θ 41.68, rel. 100, (2 0 2); 2θ 43.50, rel. 9, (3 1 0); 2θ 55.91, rel. 19, (4 0 0); 2θ 60.18, rel. 7, (4 1 1); 2θ 64.72, rel. 7, (0 0 4); 2θ 72.10, rel. 34, (4 2 2); 2θ 78.04, rel. 16, (2 2 4)



# 4
This entry pairs a crystal structure of AlPt3 with its simulated XRD peak list. Radiation: Cu Kα X-rays. Structure: a structure optimized by DFT (GGA-PBE).
Kinematic intensities with the Lorentz-polarization factor, no thermal factor.

Cell and atoms:
```
data_AlPt3
_chemical_formula_sum 'Al2 Pt6'
_cell_length_a 5.5344
_cell_length_b 5.5344
_cell_length_c 3.9418
_cell_angle_alpha 90.00
_cell_angle_beta 90.00
_cell_angle_gamma 90.00
_symmetry_space_group_name_H-M 'P 4/m b m'
_symmetry_Int_Tables_number 127
_symmetry_space_group_name_Hall '-P 4 2ab'
loop_
_atom_site_label
_atom_site_fract_x
_atom_site_fract_y
_atom_site_fract_z
Al1 0.0000 0.5000 0.0000
Pt1 0.0000 0.0000 0.0000
Pt2 0.2369 0.2631 0.5000
```

Peak list (12 most intense, 2θ = 10–80°, low angle first)
2θ 22.56, rel. 8, (0 0 1); 2θ 22.72, rel. 15, (1 1 0); 2θ 32.23, rel. 14, (1 1 1); 2θ 32.35, rel. 6, (2 0 0); 2θ 39.80, rel. 100, (2 0 1); 2θ 46.05, rel. 17, (0 0 2); 2θ 46.41, rel. 32, (2 2 0); 2θ 51.95, rel. 3, (1 1 2); 2θ 52.23, rel. 7, (3 1 0); 2θ 57.63, rel. 5, (3 1 1); 2θ 67.45, rel. 21, (2 2 2); 2θ 67.72, rel. 10, (4 0 0)



# 5
This entry pairs a crystal structure of AlPt3 with its simulated XRD peak list. Radiation: Cu Kα X-rays. Structure: a structure optimized by DFT (GGA-PBE).
Kinematic intensities with the Lorentz-polarization factor, no thermal factor.

Cell and atoms:
```
data_AlPt3
_chemical_formula_sum 'Al4 Pt12'
_cell_length_a 5.5288
_cell_length_b 5.5288
_cell_length_c 7.9064
_cell_angle_alpha 90.00
_cell_angle_beta 90.00
_cell_angle_gamma 90.00
_symmetry_space_group_name_H-M 'I 4/m c m'
_symmetry_Int_Tables_number 140
_symmetry_space_group_name_Hall '-I 4 2c'
loop_
_atom_site_label
_atom_site_fract_x
_atom_site_fract_y
_atom_site_fract_z
Al1 0.0000 0.5000 0.2500
Pt1 0.0000 0.0000 0.2500
Pt2 0.2201 0.2799 0.0000
```

Peak list (12 most intense, 2θ = 10–80°, low angle first)
2θ 22.49, rel. 9, (0 0 2); 2θ 22.75, rel. 14, (1 1 0); 2θ 32.20, rel. 17, (1 1 2); 2θ 38.13, rel. 13, (2 1 1); 2θ 39.79, rel. 100, (2 0 2); 2θ 45.91, rel. 18, (0 0 4); 2θ 46.46, rel. 30, (2 2 0); 2θ 50.62, rel. 6, (2 1 3); 2θ 52.33, rel. 6, (3 1 0); 2θ 67.38, rel. 20, (2 2 4); 2θ 67.80, rel. 8, (4 0 0); 2θ 71.34, rel. 7, (4 1 1)



# 6
This entry pairs a crystal structure of ScAlPt2 with its simulated XRD peak list. Radiation: Cu Kα X-rays. Structure: a structure optimized by DFT (GGA-PBE).
Kinematic intensities with the Lorentz-polarization factor, no thermal factor.

Cell and atoms:
```
data_ScAlPt2
_chemical_formula_sum 'Sc4 Al4 Pt8'
_cell_length_a 6.3991
_cell_length_b 6.3991
_cell_length_c 6.3991
_cell_angle_alpha 90.00
_cell_angle_beta 90.00
_cell_angle_gamma 90.00
_symmetry_space_group_name_H-M 'F m -3 m'
_symmetry_Int_Tables_number 225
_symmetry_space_group_name_Hall '-F 4 2 3'
loop_
_atom_site_label
_atom_site_fract_x
_atom_site_fract_y
_atom_site_fract_z
Sc1 0.0000 0.0000 0.0000
Al1 0.0000 0.0000 0.5000
Pt1 0.2500 0.2500 0.2500
```

Peak list (6 most intense, 2θ = 10–80°, low angle first)
2θ 27.88, rel. 59, (2 0 0); 2θ 39.85, rel. 100, (2 2 0); 2θ 49.33, rel. 17, (2 2 2); 2θ 57.62, rel. 17, (4 0 0); 2θ 65.20, rel. 23, (4 2 0); 2θ 72.34, rel. 35, (4 2 2)



# 7
This entry pairs a crystal structure of Tb2Al6Si4Pt with its simulated XRD peak list. Radiation: Cu Kα X-rays. Structure: a structure optimized by DFT (GGA-PBE).
Kinematic intensities with the Lorentz-polarization factor, no thermal factor.

Cell and atoms:
```
data_Tb2Al6Si4Pt
_chemical_formula_sum 'Tb6 Al18 Si12 Pt3'
_cell_length_a 4.1750
_cell_length_b 4.1750
_cell_length_c 50.7874
_cell_angle_alpha 90.00
_cell_angle_beta 90.00
_cell_angle_gamma 120.00
_symmetry_space_group_name_H-M 'R -3 m'
_symmetry_Int_Tables_number 166
_symmetry_space_group_name_Hall '-R 3 2"'
loop_
_atom_site_label
_atom_site_fract_x
_atom_site_fract_y
_atom_site_fract_z
Tb1 0.0000 0.0000 0.0659
Al1 0.0000 0.0000 0.1824
Al2 0.0000 0.0000 0.3148
Al3 0.0000 0.0000 0.4497
Si1 0.0000 0.0000 0.2340
Si2 0.0000 0.0000 0.3648
Pt1 0.0000 0.0000 0.5000
```

Peak list (12 most intense, 2θ = 10–80°, low angle first)
2θ 15.70, rel. 56, (0 0 9); 2θ 24.87, rel. 40, (0 1 2); 2θ 26.16, rel. 31, (0 1 5); 2θ 27.56, rel. 100, (1 0 7); 2θ 35.04, rel. 27, (0 1 14); 2θ 37.71, rel. 58, (1 0 16); 2θ 43.35, rel. 59, (1 1 0); 2θ 46.38, rel. 23, (1 1 9); 2θ 48.30, rel. 26, (0 1 23); 2θ 52.14, rel. 17, (0 2 7); 2θ 58.40, rel. 18, (1 1 21); 2θ 58.78, rel. 16, (0 2 16)



# 8
This entry pairs a crystal structure of SmAlPt with its simulated XRD peak list. Radiation: Cu Kα X-rays. Structure: a structure optimized by DFT (GGA-PBE).
Kinematic intensities with the Lorentz-polarization factor, no thermal factor.

Cell and atoms:
```
data_SmAlPt
_chemical_formula_sum 'Sm4 Al4 Pt4'
_cell_length_a 7.0661
_cell_length_b 4.4709
_cell_length_c 7.8420
_cell_angle_alpha 90.00
_cell_angle_beta 90.00
_cell_angle_gamma 90.00
_symmetry_space_group_name_H-M 'P n m a'
_symmetry_Int_Tables_number 62
_symmetry_space_group_name_Hall '-P 2ac 2n'
loop_
_atom_site_label
_atom_site_fract_x
_atom_site_fract_y
_atom_site_fract_z
Sm1 0.0298 0.2500 0.1821
Al1 0.1467 0.2500 0.5659
Pt1 0.2199 0.7500 0.3880
```

Peak list (12 most intense, 2θ = 10–80°, low angle first)
2θ 25.99, rel. 37, (1 0 2); 2θ 26.18, rel. 60, (1 1 1); 2θ 32.92, rel. 47, (1 1 2); 2θ 34.16, rel. 13, (2 0 2); 2θ 34.31, rel. 100, (2 1 1); 2θ 39.96, rel. 43, (0 1 3); 2θ 40.35, rel. 36, (0 2 0); 2θ 42.03, rel. 16, (1 1 3); 2θ 44.89, rel. 20, (3 0 2); 2θ 48.62, rel. 14, (1 2 2); 2θ 61.93, rel. 16, (3 2 2); 2θ 69.50, rel. 13, (2 3 1)



# 9
This entry pairs a crystal structure of TbAlPt with its simulated XRD peak list. Radiation: Cu Kα X-rays. Structure: a structure optimized by DFT (GGA-PBE).
Kinematic intensities with the Lorentz-polarization factor, no thermal factor.

Cell and atoms:
```
data_TbAlPt
_chemical_formula_sum 'Tb4 Al4 Pt4'
_cell_length_a 6.9261
_cell_length_b 4.4444
_cell_length_c 7.7685
_cell_angle_alpha 90.00
_cell_angle_beta 90.00
_cell_angle_gamma 90.00
_symmetry_space_group_name_H-M 'P n m a'
_symmetry_Int_Tables_number 62
_symmetry_space_group_name_Hall '-P 2ac 2n'
loop_
_atom_site_label
_atom_site_fract_x
_atom_site_fract_y
_atom_site_fract_z
Tb1 0.0296 0.2500 0.1826
Al1 0.1475 0.2500 0.5651
Pt1 0.2239 0.7500 0.3862
```

Peak list (12 most intense, 2θ = 10–80°, low angle first)
2θ 26.31, rel. 35, (1 0 2); 2θ 26.45, rel. 56, (1 1 1); 2θ 33.25, rel. 44, (1 1 2); 2θ 34.81, rel. 100, (2 1 1); 2θ 40.31, rel. 29, (0 1 3); 2θ 40.60, rel. 36, (0 2 0); 2θ 42.46, rel. 17, (1 1 3); 2θ 45.74, rel. 28, (3 0 2); 2θ 49.02, rel. 13, (1 2 2); 2θ 53.14, rel. 14, (3 0 3); 2θ 62.77, rel. 16, (3 2 2); 2θ 70.15, rel. 13, (2 3 1)



# 10
This entry pairs a crystal structure of ThAlPt with its simulated XRD peak list. Radiation: Cu Kα X-rays. Structure: a structure optimized by DFT (GGA-PBE).
Kinematic intensities with the Lorentz-polarization factor, no thermal factor.

Cell and atoms:
```
data_ThAlPt
_chemical_formula_sum 'Th3 Al3 Pt3'
_cell_length_a 7.3110
_cell_length_b 7.3110
_cell_length_c 4.1805
_cell_angle_alpha 90.00
_cell_angle_beta 90.00
_cell_angle_gamma 120.00
_symmetry_space_group_name_H-M 'P -6 2 m'
_symmetry_Int_Tables_number 189
_symmetry_space_group_name_Hall 'P -6 -2'
loop_
_atom_site_label
_atom_site_fract_x
_atom_site_fract_y
_atom_site_fract_z
Th1 0.0000 0.4194 0.0000
Al1 0.0000 0.7668 0.5000
Pt1 0.0000 0.0000 0.0000
Pt2 0.3333 0.6667 0.5000
```

Peak list (12 most intense, 2θ = 10–80°, low angle first)
2θ 24.35, rel. 36, (1 1 0); 2θ 28.19, rel. 23, (2 0 0); 2θ 32.54, rel. 67, (1 1 1); 2θ 35.57, rel. 100, (2 0 1); 2θ 37.59, rel. 17, (2 1 0); 2θ 42.85, rel. 25, (3 0 0); 2θ 43.28, rel. 23, (0 0 2); 2θ 43.58, rel. 25, (2 1 1); 2θ 52.08, rel. 16, (3 1 0); 2θ 56.87, rel. 21, (3 1 1); 2θ 62.54, rel. 16, (3 0 2); 2θ 68.37, rel. 20, (3 2 1)



# 11
This entry pairs a crystal structure of Ti6Al16Pt7 with its simulated XRD peak list. Radiation: Cu Kα X-rays. Structure: a structure optimized by DFT (GGA-PBE).
Kinematic intensities with the Lorentz-polarization factor, no thermal factor.

Cell and atoms:
```
data_Ti6Al16Pt7
_chemical_formula_sum 'Ti24 Al64 Pt28'
_cell_length_a 12.2452
_cell_length_b 12.2452
_cell_length_c 12.2452
_cell_angle_alpha 90.00
_cell_angle_beta 90.00
_cell_angle_gamma 90.00
_symmetry_space_group_name_H-M 'F m -3 m'
_symmetry_Int_Tables_number 225
_symmetry_space_group_name_Hall '-F 4 2 3'
loop_
_atom_site_label
_atom_site_fract_x
_atom_site_fract_y
_atom_site_fract_z
Ti1 0.0000 0.0000 0.1726
Al1 0.1203 0.1203 0.3797
Al2 0.1597 0.1597 0.1597
Pt1 0.0000 0.0000 0.5000
Pt2 0.0000 0.2500 0.2500
```

Peak list (12 most intense, 2θ = 10–80°, low angle first)
2θ 25.19, rel. 100, (2 2 2); 2θ 29.17, rel. 50, (4 0 0); 2θ 31.86, rel. 10, (3 3 1); 2θ 35.93, rel. 12, (4 2 2); 2θ 38.19, rel. 10, (3 3 3); 2θ 41.73, rel. 83, (4 4 0); 2θ 49.37, rel. 69, (6 2 2); 2θ 51.72, rel. 10, (4 4 4); 2θ 60.48, rel. 13, (8 0 0); 2θ 66.58, rel. 29, (6 6 2); 2θ 68.54, rel. 19, (8 4 0); 2θ 76.17, rel. 21, (8 4 4)



# 12
This entry pairs a crystal structure of Tm4Al24Pt9 with its simulated XRD peak list. Radiation: Cu Kα X-rays. Structure: a structure optimized by DFT (GGA-PBE).
Kinematic intensities with the Lorentz-polarization factor, no thermal factor.

Cell and atoms:
```
data_Tm4Al24Pt9
_chemical_formula_sum 'Tm4 Al24 Pt9'
_cell_length_a 7.4687
_cell_length_b 7.4918
_cell_length_c 13.1709
_cell_angle_alpha 84.78
_cell_angle_beta 79.31
_cell_angle_gamma 60.49
_symmetry_space_group_name_H-M 'P -1'
_symmetry_Int_Tables_number 2
_symmetry_space_group_name_Hall '-P 1'
loop_
_atom_site_label
_atom_site_fract_x
_atom_site_fract_y
_atom_site_fract_z
Tm1 0.0620 0.3312 0.3075
Tm2 0.2670 0.9985 0.6929
Al1 0.0187 0.6661 0.4443
Al2 0.1178 0.6655 0.1711
Al3 0.1460 0.3333 0.0583
Al4 0.1857 0.0005 0.9416
Al5 0.1928 0.8689 0.3155
Al6 0.2304 0.6606 0.8298
Al7 0.3157 0.6679 0.5478
Al8 0.3528 0.0010 0.4444
Al9 0.3969 0.4586 0.3159
Al10 0.3975 0.3368 0.6832
Al11 0.4432 0.9943 0.1712
Al12 0.4788 0.6675 0.0607
Pt1 0.0000 0.0000 0.5000
Pt2 0.1120 0.0082 0.1391
Pt3 0.2052 0.3332 0.8608
Pt4 0.3284 0.3288 0.4998
Pt5 0.4537 0.3252 0.1373
```

Peak list (12 most intense, 2θ = 10–80°, low angle first)
2θ 20.59, rel. 42, (0 0 3); 2θ 23.72, rel. 44, (1 -1 0); 2θ 23.90, rel. 87, (2 1 1); 2θ 28.62, rel. 46, (-1 1 2); 2θ 28.73, rel. 47, (1 2 -2); 2θ 28.87, rel. 46, (2 1 3); 2θ 30.09, rel. 100, (2 1 -2); 2θ 30.17, rel. 50, (1 2 3); 2θ 38.47, rel. 38, (1 2 -4); 2θ 41.55, rel. 56, (0 3 0); 2θ 41.69, rel. 56, (3 0 1); 2θ 41.93, rel. 73, (3 3 1)